[1]
LiTi2O4: theoretical PXRD pattern (copper Kα), based on the PBE geometry in the Materials Project.
No peak broadening, texture or thermal motion is included.

Top 10 peaks for 15 to 90 degrees two-theta, low angle first:
23.75°, d 3.747, I 78
25.30°, d 3.521, I 100
36.66°, d 2.451, I 20
39.31°, d 2.292, I 49
44.12°, d 2.053, I 42
47.70°, d 1.907, I 34
51.55°, d 1.773, I 26
55.62°, d 1.652, I 23
60.56°, d 1.529, I 21
66.99°, d 1.397, I 19

Atomic structure:
```
28
Lattice="8.2100 0.0000 0.0000 0.0000 9.1674 0.0000 0.0000 0.0000 3.8133" Properties=species:S:1:pos:R:3 pbc="T T T"
Li 1.0073 1.4598 0.0000
Li 3.0977 6.0435 1.9066
Li 5.1123 3.1238 1.9066
Li 7.2027 7.7075 0.0000
Ti 0.9576 5.5574 0.0000
Ti 1.1511 8.1064 1.9066
Ti 2.9539 3.5227 0.0000
Ti 3.1474 0.9737 1.9066
Ti 5.0626 8.1936 1.9066
Ti 5.2561 5.6446 0.0000
Ti 7.0589 1.0609 1.9066
Ti 7.2524 3.6100 0.0000
O 0.9515 7.7374 0.0000
O 1.0246 0.8578 1.9066
O 1.0301 3.5390 0.0000
O 1.1080 5.9607 1.9066
O 2.9970 1.3770 0.0000
O 3.0804 5.4415 0.0000
O 3.0749 8.1227 1.9066
O 3.1535 3.1538 1.9066
O 5.0565 6.0136 1.9066
O 5.1351 1.0447 1.9066
O 5.1296 3.7259 0.0000
O 5.2130 7.7904 0.0000
O 7.1021 3.2067 1.9066
O 7.1799 5.6283 0.0000
O 7.1854 8.3096 1.9066
O 7.2585 1.4299 0.0000
```

[2]
GdGa3Os: theoretical PXRD pattern (copper Kα), based on the PBE geometry in the Materials Project.
No peak broadening, texture or thermal motion is included.

Top 10 peaks for 15 to 90 degrees two-theta, low angle first:
19.45°, d 4.563, I 13
27.65°, d 3.227, I 18
34.03°, d 2.635, I 11
39.50°, d 2.282, I 100
44.39°, d 2.041, I 8
48.89°, d 1.863, I 7
57.09°, d 1.613, I 14
64.59°, d 1.443, I 13
71.64°, d 1.317, I 26
85.03°, d 1.141, I 8

Atomic structure:
```
15
Lattice="6.4533 0.0000 0.0000 0.0000 6.4533 0.0000 0.0000 0.0000 6.4533" Properties=species:S:1:pos:R:3 pbc="T T T"
Gd 0.0000 0.0000 3.2266
Gd 0.0000 3.2266 0.0000
Gd 3.2266 0.0000 0.0000
Ga 0.0000 0.0000 0.0000
Ga 1.8676 1.8676 1.8676
Ga 1.8676 1.8676 4.5857
Ga 1.8676 4.5857 1.8676
Ga 1.8676 4.5857 4.5857
Ga 4.5857 1.8676 1.8676
Ga 4.5857 1.8676 4.5857
Ga 4.5857 4.5857 1.8676
Ga 4.5857 4.5857 4.5857
Os 0.0000 3.2266 3.2266
Os 3.2266 0.0000 3.2266
Os 3.2266 3.2266 0.0000
```

[3]
SrSn2Hg2: theoretical PXRD pattern (copper Kα), based on the PBE geometry in the Materials Project.
No peak broadening, texture or thermal motion is included.

Top 10 peaks for 15 to 90 degrees two-theta, low angle first:
27.25°, d 3.273, I 52
28.60°, d 3.121, I 79
29.47°, d 3.031, I 67
30.74°, d 2.908, I 48
31.65°, d 2.827, I 74
32.30°, d 2.772, I 100
35.20°, d 2.549, I 100
39.91°, d 2.259, I 48
48.06°, d 1.893, I 47
61.36°, d 1.511, I 52

Atomic structure:
```
10
Lattice="6.4141 -2.5495 0.0000 6.4141 2.5495 0.0000 -4.8062 0.0000 8.9708" Properties=species:S:1:pos:R:3 pbc="T T T"
Sr 1.1543 0.0000 1.9391
Sr 6.8678 0.0000 7.0318
Sn -1.0467 0.0000 5.0227
Sn 5.1810 0.0000 0.8118
Sn 2.8411 0.0000 8.1590
Sn 9.0687 0.0000 3.9481
Hg -2.1032 0.0000 7.7419
Hg 2.2048 0.0000 5.2746
Hg 5.8173 0.0000 3.6963
Hg 10.1253 0.0000 1.2289
```

- Which formula does entry 1 have?
  LiTi2O4